For HOs4, the PBE geometry in Alexandria gives the theoretical powder diffraction line list in this record (Cu Kα).
Peak positions follow from Bragg's law for the DFT cell and can differ from measured ones.

Top 3 peaks for 2θ = 5–70°, sorted by position:
2θ = 40.00°, I = 100; 2θ = 46.52°, I = 49; 2θ = 67.90°, I = 32

Structural model:
```
data_HOs4
_chemical_formula_sum 'H1 Os4'
_cell_length_a 3.9044
_cell_length_b 3.9044
_cell_length_c 3.9044
_cell_angle_alpha 90.00
_cell_angle_beta 90.00
_cell_angle_gamma 90.00
_symmetry_space_group_name_H-M 'P 1'
_symmetry_Int_Tables_number 1
loop_
_symmetry_equiv_pos_as_xyz
'x,y,z'
loop_
_atom_site_label
_atom_site_type_symbol
_atom_site_fract_x
_atom_site_fract_y
_atom_site_fract_z
H1 H 0.0000 0.0000 0.0000
Os1 Os 0.0000 0.0000 0.5000
Os2 Os 0.0000 0.5000 0.0000
Os3 Os 0.5000 0.0000 0.0000
Os4 Os 0.5000 0.5000 0.5000
```